(1)
Calculated X-ray powder pattern
Compound: NdVPt4
Radiation: a wavelength of 1.5418 Å
Structure: a DFT-relaxed cell (GGA-PBE, Alexandria)

The 10 most intense peaks (2θ = 15–90°), in order of rising 2θ:
d/Å	I/Imax
2.592	100
2.485	24
2.472	20
2.340	40
2.184	79
1.981	14
1.964	31
1.504	20
1.438	14
1.172	18

Crystal structure
Lattice parameters (Å, degrees): 7.9249 3.9275 7.0198 90.00 90.00 90.00
Fractional positions:
Nd: 0.2500 0.0000 0.1452
Nd: 0.7500 0.0000 0.8548
V: 0.2500 0.0000 0.7241
V: 0.7500 0.0000 0.2759
Pt: 0.0000 0.0000 0.5000
Pt: 0.0568 0.5000 0.8165
Pt: 0.2500 0.5000 0.4802
Pt: 0.4432 0.5000 0.8165
Pt: 0.5000 0.0000 0.5000
Pt: 0.5568 0.5000 0.1835
Pt: 0.7500 0.5000 0.5198
Pt: 0.9432 0.5000 0.1835

---

(2)
Calculated X-ray powder pattern
Compound: Nd2Y2Pt3
Radiation: a wavelength of 1.5418 Å
Structure: a DFT-relaxed cell (GGA-PBE, Alexandria)

The 10 most intense peaks (2θ = 15–90°), in order of rising 2θ:
d/Å	I/Imax
3.631	21
2.812	100
2.377	54
1.989	21
1.896	15
1.815	10
1.744	27
1.443	28
1.372	11
1.210	22

Crystal structure
Lattice parameters (Å, degrees): 7.7022 7.7022 7.7022 109.47 109.47 109.47
Fractional positions:
Nd: 0.0000 0.3743 0.5000
Nd: 0.1257 0.1257 0.1257
Nd: 0.3743 0.5000 0.0000
Nd: 0.5000 0.0000 0.3743
Y: 0.0000 0.8770 0.5000
Y: 0.5000 0.0000 0.8770
Y: 0.6230 0.6230 0.6230
Y: 0.8770 0.5000 0.0000
Pt: 0.1150 0.7500 0.8650
Pt: 0.2500 0.6350 0.3850
Pt: 0.3850 0.2500 0.6350
Pt: 0.6350 0.3850 0.2500
Pt: 0.7500 0.8650 0.1150
Pt: 0.8650 0.1150 0.7500

---

(3)
Calculated X-ray powder pattern
Compound: Nd4Y3Pt4
Radiation: a wavelength of 1.5418 Å
Structure: a DFT-relaxed cell (GGA-PBE, Alexandria)

The 10 most intense peaks (2θ = 15–90°), in order of rising 2θ:
d/Å	I/Imax
3.781	34
2.890	81
2.708	100
2.633	73
2.530	39
2.363	68
2.278	73
1.941	33
1.562	30
1.516	37

Crystal structure
Lattice parameters (Å, degrees): 9.6648 9.6648 9.6648 156.83 124.72 60.73
Fractional positions:
Nd: 0.0223 0.8357 0.1865
Nd: 0.3508 0.1643 0.1865
Nd: 0.6492 0.8357 0.8135
Nd: 0.9777 0.1643 0.8135
Y: 0.0000 0.5000 0.5000
Y: 0.4017 0.4017 0.0000
Y: 0.5983 0.5983 0.0000
Pt: 0.2599 0.7599 0.5000
Pt: 0.3068 0.0000 0.3068
Pt: 0.6932 0.0000 0.6932
Pt: 0.7401 0.2401 0.5000

---

(4)
Calculated X-ray powder pattern
Compound: NdY3Pt
Radiation: a wavelength of 1.5418 Å
Structure: a DFT-relaxed cell (GGA-PBE, Alexandria)

The 10 most intense peaks (2θ = 15–90°), in order of rising 2θ:
d/Å	I/Imax
4.811	47
3.917	64
3.853	23
2.959	47
2.940	100
2.801	25
2.762	24
2.274	29
2.266	59
1.942	46

Crystal structure
Lattice parameters (Å, degrees): 7.7069 6.7468 6.1582 90.00 90.00 90.00
Fractional positions:
Nd: 0.0000 0.1420 0.0000
Nd: 0.5000 0.8580 0.5000
Y: 0.0000 0.8478 0.4868
Y: 0.2447 0.3057 0.4973
Y: 0.2553 0.6943 0.9973
Y: 0.5000 0.1522 0.9868
Y: 0.7447 0.6943 0.9973
Y: 0.7553 0.3057 0.4973
Pt: 0.0000 0.5088 0.7495
Pt: 0.5000 0.4912 0.2495

---

(5)
Calculated X-ray powder pattern
Compound: Nd8ZnPt2
Radiation: a wavelength of 1.5418 Å
Structure: a DFT-relaxed cell (GGA-PBE, Alexandria)

The 10 most intense peaks (2θ = 15–90°), in order of rising 2θ:
d/Å	I/Imax
5.633	57
3.587	58
3.086	83
2.922	100
2.776	95
2.655	97
2.603	84
2.510	54
2.439	91
2.392	52

Crystal structure
Lattice parameters (Å, degrees): 8.1160 8.1160 5.8457 98.28 98.28 114.79
Fractional positions:
Nd: 0.0000 0.0000 0.0000
Nd: 0.0490 0.2994 0.6037
Nd: 0.1480 0.6211 0.1883
Nd: 0.2994 0.0490 0.6037
Nd: 0.4641 0.7148 0.7834
Nd: 0.6211 0.1480 0.1883
Nd: 0.7148 0.4641 0.7834
Nd: 0.7582 0.7582 0.3747
Zn: 0.3831 0.3831 0.1088
Pt: 0.0786 0.6848 0.6884
Pt: 0.6848 0.0786 0.6884

---

(6)
Calculated X-ray powder pattern
Compound: NdZn3Pt
Radiation: a wavelength of 1.5418 Å
Structure: a DFT-relaxed cell (GGA-PBE, Alexandria)

The 10 most intense peaks (2θ = 15–90°), in order of rising 2θ:
d/Å	I/Imax
5.674	40
4.005	31
2.764	29
2.625	51
2.617	19
2.510	47
2.485	41
2.427	74
2.366	75
2.275	100

Crystal structure
Lattice parameters (Å, degrees): 5.6824 5.5287 5.9743 90.00 93.09 90.00
Fractional positions:
Nd: 0.1642 0.2500 0.1701
Nd: 0.8358 0.7500 0.8299
Zn: 0.3232 0.0025 0.6703
Zn: 0.3232 0.4975 0.6703
Zn: 0.3736 0.7500 0.0568
Zn: 0.6264 0.2500 0.9432
Zn: 0.6768 0.5025 0.3297
Zn: 0.6768 0.9975 0.3297
Pt: 0.0734 0.7500 0.3641
Pt: 0.9266 0.2500 0.6359